Entry 1:
Simulated X-ray powder pattern of LiMn7O9F3 for Cu Kα X-rays, from a structure optimized by DFT (GGA+U).
No peak broadening, texture or thermal motion is included.

```
LiMn7O9F3
1.0
4.348 2.510 3.411
-4.348 2.510 3.411
0.000 -5.021 3.411
Li Mn O F
1 7 9 3
Direct
0.000 0.000 0.000
0.026 0.235 0.551
0.235 0.551 0.026
0.415 0.896 0.721
0.460 0.460 0.460
0.551 0.026 0.235
0.721 0.415 0.896
0.896 0.721 0.415
0.050 0.319 0.876
0.165 0.526 0.351
0.319 0.876 0.050
0.351 0.165 0.526
0.437 0.563 0.776
0.526 0.351 0.165
0.563 0.776 0.437
0.776 0.437 0.563
0.876 0.050 0.319
0.059 0.875 0.689
0.689 0.059 0.875
0.875 0.689 0.059
```

Top 10 peaks for 5 to 70 degrees two-theta, in order of rising 2θ:
2θ = 14.60°, rel. 28
2θ = 25.20°, rel. 43
2θ = 26.12°, rel. 40
2θ = 32.65°, rel. 100
2θ = 33.39°, rel. 64
2θ = 36.11°, rel. 35
2θ = 46.99°, rel. 39
2θ = 47.80°, rel. 47
2θ = 55.95°, rel. 32
2θ = 58.09°, rel. 27

Entry 2:
Simulated X-ray powder pattern of LiMn2O2F3 for Cu Kα X-rays, from a structure optimized by DFT (GGA+U).
No peak broadening, texture or thermal motion is included.

```
LiMn2O2F3
1.0
5.125 -2.734 0.000
5.125 2.734 0.000
-2.802 0.000 6.573
Li Mn O F
2 4 4 6
Direct
0.000 0.000 0.000
0.000 0.000 0.500
0.376 0.393 0.798
0.393 0.376 0.298
0.607 0.624 0.702
0.624 0.607 0.202
0.291 0.550 0.563
0.450 0.709 0.937
0.550 0.291 0.063
0.709 0.450 0.437
0.063 0.335 0.162
0.180 0.820 0.250
0.335 0.063 0.662
0.665 0.937 0.338
0.820 0.180 0.750
0.937 0.665 0.838
```

Top 10 peaks for 5 to 70 degrees two-theta, in order of rising 2θ:
2θ = 18.76°, rel. 100
2θ = 26.28°, rel. 13
2θ = 27.13°, rel. 28
2θ = 32.76°, rel. 15
2θ = 34.90°, rel. 26
2θ = 37.81°, rel. 15
2θ = 50.41°, rel. 15
2θ = 51.21°, rel. 36
2θ = 54.53°, rel. 19
2θ = 60.75°, rel. 16